Diffraction record for Pr3Dy5Se8. The PXRD pattern is simulated, not measured: it uses a cell relaxed with GGA-PBE and Cu Kα X-rays.
Neutral-atom scattering factors, no anomalous dispersion.

Peak list (6 most intense, 2θ from 5° to 70°, in order of falling intensity)
2θ (°)  I_rel  h k l
30.47  100  0 2 4
43.28  38  2 0 8
43.98  36  2 2 0
54.45  19  4 0 4
26.45  14  2 0 2
63.41  12  0 4 8

Structural model:
```
data_Pr3Dy5Se8
_chemical_formula_sum 'Pr9 Dy15 Se24'
_cell_length_a 8.2349
_cell_length_b 8.2349
_cell_length_c 20.6445
_cell_angle_alpha 90.00
_cell_angle_beta 90.00
_cell_angle_gamma 120.00
_space_group_name_H-M_alt 'R -3 m'
_space_group_IT_number 166
_space_group_name_Hall '-R 3 2"'
loop_
_atom_site_label
_atom_site_type_symbol
_atom_site_fract_x
_atom_site_fract_y
_atom_site_fract_z
_atom_site_occupancy
Pr1 Pr 0.0000 0.5000 0.0000 1
Dy1 Dy 0.0000 0.0000 0.0000 1
Dy2 Dy 0.0000 0.0000 0.5000 1
Dy3 Dy 0.0000 0.5000 0.5000 1
Se1 Se 0.0000 0.0000 0.2440 1
Se2 Se 0.0075 0.5037 0.7540 1
```


Diffraction record for Pm8Bi3Te4. The PXRD pattern is simulated, not measured: it uses a cell relaxed with GGA-PBE and Cu Kα X-rays.
Neutral-atom scattering factors, no anomalous dispersion.

Peak list (6 most intense, 2θ from 5° to 70°, in order of falling intensity)
2θ (°)  I_rel  h k l
28.18  100  0 4 0
40.23  39  4 0 0
40.31  38  4 4 -2
65.95  24  0 8 2
49.80  14  4 4 0
49.95  14  4 4 -4

Structural model:
```
data_Pm8Bi3Te4
_chemical_formula_sum 'Pm16 Bi6 Te8'
_cell_length_a 12.659
_cell_length_b 12.668
_cell_length_c 8.939
_cell_angle_alpha 90.00
_cell_angle_beta 134.83
_cell_angle_gamma 90.00
_space_group_name_H-M_alt 'C 1 2/m 1'
_space_group_IT_number 12
loop_
_space_group_symop_operation_xyz
'x,y,z'
'-x,-y,-z'
'-x,y,-z'
'x,-y,z'
'x+1/2,y+1/2,z'
'-x+1/2,-y+1/2,-z'
'-x+1/2,y+1/2,-z'
'x+1/2,-y+1/2,z'
loop_
_atom_site_label
_atom_site_type_symbol
_atom_site_fract_x
_atom_site_fract_y
_atom_site_fract_z
_atom_site_occupancy
Pm1 Pm 0.000 0.250 0.000 1
Pm2 Pm 0.000 0.250 0.500 1
Pm3 Pm 0.248 0.000 0.001 1
Pm4 Pm 0.248 0.500 0.497 1
Bi1 Bi 0.000 0.000 0.500 1
Bi2 Bi 0.250 0.250 0.000 1
Te1 Te 0.000 0.500 0.000 1
Te2 Te 0.000 0.500 0.500 1
Te3 Te 0.250 0.250 0.500 1
```


- Which formula does entry 1 have?
  Pr3Dy5Se8